Structure and simulated X-ray powder pattern of MnCrCoRu (a PBE-relaxed structure; Cu Ka).
Kinematic intensities with the Lorentz-polarization factor, no thermal factor.

Peak list (6 most intense, 2θ = 5–70°, by intensity)
(hkl)  2θ (°)  intensity
1 0 2  43.3  100
1 1 0  50.2  32
0 0 4  50.9  15
0 0 1  12.3  8
1 0 -1  37.2  5
0 0 2  24.8  5

Atomic structure:
```
data_MnCrCoRu
_space_group_name_H-M_alt 'P 1 m 1'
_space_group_IT_number 6
_cell_length_a 2.569
_cell_length_b 2.567
_cell_length_c 7.175
_cell_angle_alpha 90.00
_cell_angle_beta 90.09
_cell_angle_gamma 90.00
loop_
_space_group_symop_operation_xyz
'x,y,z'
'x,-y,z'
loop_
_atom_site_label
_atom_site_type_symbol
_atom_site_fract_x
_atom_site_fract_y
_atom_site_fract_z
_atom_site_occupancy
Mn1 Mn 0.000 0.000 0.000 1
Cr1 Cr 0.000 0.000 0.526 1
Co1 Co 0.499 0.500 0.761 1
Ru1 Ru 0.500 0.500 0.253 1
```